1.
Diffraction record for Li3CrCo3O8. The powder diffraction line list is simulated, not measured: it uses a crystal structure in the Materials Project, relaxed with PBE+U and λ = 1.5418 Å (Cu Kα).

Top 10 peaks for 15 to 90 degrees two-theta, low angle first:
2θ (°)	d_spacing	Rel. int.
18.34	4.838	100
37.00	2.429	34
38.59	2.333	11
44.44	2.039	60
48.46	1.879	10
58.15	1.586	14
63.70	1.461	16
65.62	1.423	16
68.78	1.365	13
82.72	1.167	7

Crystal structure
Lattice parameters (Å, degrees): 5.848 5.848 5.848 58.23 58.23 58.23
Atoms (fractional coordinates):
Li: 0.000 0.500 0.500
Li: 0.500 0.000 0.500
Li: 0.500 0.500 0.000
Cr: 0.500 0.500 0.500
Co: 0.000 0.000 0.500
Co: 0.000 0.500 0.000
Co: 0.500 0.000 0.000
O: 0.238 0.238 0.238
O: 0.240 0.737 0.737
O: 0.263 0.263 0.760
O: 0.263 0.760 0.263
O: 0.737 0.240 0.737
O: 0.737 0.737 0.240
O: 0.760 0.263 0.263
O: 0.762 0.762 0.762

---

2.
Diffraction record for Li5Cr2Co3O10. The powder diffraction line list is simulated, not measured: it uses a crystal structure in the Materials Project, relaxed with PBE+U and λ = 1.5418 Å (Cu Kα).

Top 10 peaks for 15 to 90 degrees two-theta, low angle first:
2θ (°)	d_spacing	Rel. int.
18.42	4.817	83
22.85	3.892	18
26.45	3.370	28
29.75	3.004	18
37.22	2.416	17
37.37	2.407	17
43.07	2.100	100
43.86	2.064	45
62.54	1.485	27
63.23	1.471	15

Crystal structure
Lattice parameters (Å, degrees): 5.124 7.789 10.239 108.58 99.14 103.59
Atoms (fractional coordinates):
Li: 0.000 0.000 0.000
Li: 0.000 0.000 0.500
Li: 0.490 0.288 0.195
Li: 0.491 0.287 0.695
Li: 0.497 0.914 0.105
Li: 0.499 0.914 0.605
Li: 0.501 0.086 0.395
Li: 0.503 0.086 0.895
Li: 0.509 0.713 0.305
Li: 0.510 0.712 0.805
Cr: 0.001 0.804 0.704
Cr: 0.003 0.196 0.799
Cr: 0.997 0.804 0.201
Cr: 0.999 0.196 0.296
Co: 0.007 0.609 0.899
Co: 0.007 0.611 0.401
Co: 0.500 0.500 0.000
Co: 0.500 0.500 0.500
Co: 0.993 0.389 0.599
Co: 0.993 0.391 0.101
O: 0.225 0.833 0.393
O: 0.226 0.833 0.893
O: 0.230 0.047 0.204
O: 0.230 0.640 0.096
O: 0.231 0.047 0.704
O: 0.232 0.639 0.598
O: 0.240 0.448 0.802
O: 0.240 0.449 0.303
O: 0.256 0.269 0.995
O: 0.257 0.269 0.495
O: 0.743 0.731 0.505
O: 0.744 0.731 0.005
O: 0.760 0.551 0.697
O: 0.760 0.552 0.198
O: 0.768 0.361 0.402
O: 0.769 0.953 0.296
O: 0.770 0.360 0.904
O: 0.770 0.953 0.796
O: 0.774 0.167 0.107
O: 0.775 0.167 0.607

---

3.
Diffraction record for Li4Cr3CoO8. The powder diffraction line list is simulated, not measured: it uses a crystal structure in the Materials Project, relaxed with PBE+U and λ = 1.5418 Å (Cu Kα).

Top 10 peaks for 15 to 90 degrees two-theta, low angle first:
2θ (°)	d_spacing	Rel. int.
18.43	4.814	100
35.94	2.499	40
37.58	2.394	12
43.60	2.076	78
47.71	1.906	12
57.58	1.601	14
63.22	1.471	20
63.44	1.466	7
63.55	1.464	14
66.70	1.402	7

Crystal structure
Lattice parameters (Å, degrees): 5.102 5.858 10.558 74.03 76.20 73.32
Atoms (fractional coordinates):
Li: 0.000 0.000 0.000
Li: 0.000 0.128 0.247
Li: 0.000 0.500 0.000
Li: 0.000 0.872 0.753
Li: 0.002 0.750 0.499
Li: 0.004 0.622 0.251
Li: 0.996 0.378 0.749
Li: 0.998 0.250 0.501
Cr: 0.500 0.060 0.627
Cr: 0.500 0.189 0.877
Cr: 0.500 0.437 0.373
Cr: 0.500 0.563 0.627
Cr: 0.500 0.811 0.123
Cr: 0.500 0.940 0.373
Co: 0.500 0.314 0.123
Co: 0.500 0.686 0.877
O: 0.272 0.776 0.309
O: 0.273 0.401 0.561
O: 0.273 0.902 0.560
O: 0.275 0.020 0.814
O: 0.276 0.279 0.305
O: 0.277 0.155 0.062
O: 0.277 0.530 0.813
O: 0.281 0.644 0.057
O: 0.719 0.356 0.943
O: 0.723 0.470 0.187
O: 0.723 0.845 0.938
O: 0.724 0.721 0.695
O: 0.725 0.980 0.186
O: 0.727 0.098 0.440
O: 0.727 0.599 0.439
O: 0.728 0.224 0.691

---

4.
Diffraction record for Li3Cr2Co2O8. The powder diffraction line list is simulated, not measured: it uses a crystal structure in the Materials Project, relaxed with PBE+U and λ = 1.5418 Å (Cu Kα).

Top 10 peaks for 15 to 90 degrees two-theta, low angle first:
2θ (°)	d_spacing	Rel. int.
18.31	4.845	100
18.46	4.807	25
35.32	2.541	22
35.84	2.506	11
37.11	2.422	15
42.92	2.107	59
43.78	2.068	27
62.76	1.481	15
63.20	1.471	15
79.06	1.211	10

Crystal structure
Lattice parameters (Å, degrees): 5.883 5.889 5.921 119.54 91.04 118.99
Atoms (fractional coordinates):
Li: 0.000 0.000 0.000
Li: 0.000 0.000 0.500
Li: 0.500 0.500 0.000
Cr: 0.500 0.000 0.000
Cr: 0.500 0.500 0.500
Co: 0.000 0.500 0.500
Co: 0.500 0.000 0.500
O: 0.255 0.985 0.743
O: 0.267 0.517 0.731
O: 0.269 0.511 0.281
O: 0.286 0.034 0.269
O: 0.714 0.966 0.731
O: 0.731 0.489 0.719
O: 0.733 0.483 0.269
O: 0.745 0.015 0.257

---

5.
Diffraction record for Li4Cr3CoO8. The powder diffraction line list is simulated, not measured: it uses a crystal structure in the Materials Project, relaxed with PBE+U and λ = 1.5418 Å (Cu Kα).

Top 10 peaks for 15 to 90 degrees two-theta, low angle first:
2θ (°)	d_spacing	Rel. int.
18.43	4.815	100
35.94	2.499	40
37.58	2.394	12
43.60	2.076	78
47.73	1.906	8
57.58	1.601	14
63.17	1.472	7
63.23	1.471	14
63.49	1.465	14
63.58	1.463	7

Crystal structure
Lattice parameters (Å, degrees): 5.103 5.857 10.150 90.14 99.50 106.68
Atoms (fractional coordinates):
Li: 0.000 0.000 0.000
Li: 0.000 0.000 0.500
Li: 0.000 0.500 0.000
Li: 0.000 0.500 0.500
Li: 0.001 0.248 0.253
Li: 0.004 0.753 0.250
Li: 0.996 0.247 0.750
Li: 0.999 0.752 0.747
Cr: 0.500 0.124 0.873
Cr: 0.500 0.373 0.623
Cr: 0.500 0.374 0.127
Cr: 0.500 0.626 0.873
Cr: 0.500 0.627 0.377
Cr: 0.500 0.876 0.127
Co: 0.500 0.125 0.377
Co: 0.500 0.875 0.623
O: 0.273 0.318 0.939
O: 0.273 0.569 0.191
O: 0.273 0.819 0.940
O: 0.276 0.069 0.195
O: 0.276 0.573 0.686
O: 0.277 0.064 0.687
O: 0.277 0.314 0.438
O: 0.281 0.827 0.443
O: 0.719 0.173 0.557
O: 0.723 0.686 0.562
O: 0.723 0.936 0.313
O: 0.724 0.427 0.314
O: 0.724 0.931 0.805
O: 0.727 0.181 0.060
O: 0.727 0.431 0.809
O: 0.727 0.682 0.061

---

6.
Diffraction record for Li4Cr3CoO8. The powder diffraction line list is simulated, not measured: it uses a crystal structure in the Materials Project, relaxed with PBE+U and λ = 1.5418 Å (Cu Kα).

Top 10 peaks for 15 to 90 degrees two-theta, low angle first:
2θ (°)	d_spacing	Rel. int.
18.35	4.836	100
35.86	2.504	40
37.48	2.399	12
43.47	2.082	78
47.55	1.912	12
57.36	1.606	14
62.95	1.476	20
63.36	1.468	21
66.58	1.405	13
79.97	1.200	9

Crystal structure
Lattice parameters (Å, degrees): 5.084 5.124 5.872 106.63 90.01 99.51
Atoms (fractional coordinates):
Li: 0.241 0.497 0.377
Li: 0.250 0.493 0.870
Li: 0.750 0.507 0.130
Li: 0.759 0.503 0.623
Cr: 0.000 0.000 0.000
Cr: 0.499 0.000 0.253
Cr: 0.501 0.000 0.747
Co: 0.000 0.000 0.500
O: 0.125 0.777 0.200
O: 0.126 0.778 0.688
O: 0.362 0.223 0.556
O: 0.372 0.227 0.057
O: 0.628 0.773 0.943
O: 0.638 0.777 0.444
O: 0.874 0.222 0.312
O: 0.875 0.223 0.800

---

7.
Diffraction record for Li2CrCo3O8. The powder diffraction line list is simulated, not measured: it uses a crystal structure in the Materials Project, relaxed with PBE+U and λ = 1.5418 Å (Cu Kα).

Top 10 peaks for 15 to 90 degrees two-theta, low angle first:
2θ (°)	d_spacing	Rel. int.
18.54	4.786	74
18.72	4.740	100
18.86	4.705	47
36.03	2.493	29
36.28	2.476	16
36.67	2.451	17
43.65	2.074	40
44.14	2.052	38
44.51	2.036	37
64.17	1.451	23

Crystal structure
Lattice parameters (Å, degrees): 5.737 5.806 10.092 90.09 105.96 119.59
Atoms (fractional coordinates):
Li: 0.117 0.055 0.182
Li: 0.118 0.565 0.682
Li: 0.882 0.435 0.318
Li: 0.883 0.945 0.818
Cr: 0.496 0.744 0.250
Cr: 0.504 0.256 0.750
Co: 0.000 0.000 0.500
Co: 0.000 0.500 0.000
Co: 0.500 0.000 0.000
Co: 0.500 0.000 0.500
Co: 0.500 0.500 0.000
Co: 0.500 0.500 0.500
O: 0.240 0.599 0.890
O: 0.254 0.846 0.112
O: 0.257 0.401 0.111
O: 0.259 0.912 0.615
O: 0.265 0.134 0.397
O: 0.269 0.373 0.615
O: 0.294 0.644 0.392
O: 0.296 0.155 0.892
O: 0.704 0.845 0.108
O: 0.706 0.356 0.608
O: 0.731 0.627 0.385
O: 0.735 0.866 0.603
O: 0.741 0.088 0.385
O: 0.743 0.599 0.889
O: 0.746 0.154 0.888
O: 0.760 0.401 0.110

---

8.
Diffraction record for Li4Cr3CoO8. The powder diffraction line list is simulated, not measured: it uses a crystal structure in the Materials Project, relaxed with PBE+U and λ = 1.5418 Å (Cu Kα).

Top 10 peaks for 15 to 90 degrees two-theta, low angle first:
2θ (°)	d_spacing	Rel. int.
18.43	4.814	100
35.92	2.500	13
35.95	2.498	27
37.58	2.393	12
43.60	2.076	78
47.71	1.906	13
57.58	1.601	14
63.23	1.471	14
63.55	1.464	14
66.79	1.401	9

Crystal structure
Lattice parameters (Å, degrees): 5.102 7.751 7.752 81.68 83.74 71.03
Atoms (fractional coordinates):
Li: 0.001 0.436 0.189
Li: 0.003 0.186 0.937
Li: 0.004 0.685 0.440
Li: 0.005 0.935 0.688
Li: 0.995 0.065 0.312
Li: 0.996 0.315 0.560
Li: 0.997 0.814 0.063
Li: 0.999 0.564 0.811
Cr: 0.499 0.746 0.254
Cr: 0.500 0.000 0.500
Cr: 0.500 0.126 0.126
Cr: 0.500 0.500 0.000
Cr: 0.500 0.874 0.874
Cr: 0.501 0.254 0.746
Co: 0.500 0.376 0.376
Co: 0.500 0.624 0.624
O: 0.272 0.090 0.717
O: 0.273 0.339 0.966
O: 0.273 0.963 0.094
O: 0.276 0.584 0.222
O: 0.276 0.712 0.838
O: 0.276 0.835 0.472
O: 0.277 0.218 0.344
O: 0.282 0.467 0.587
O: 0.718 0.533 0.413
O: 0.723 0.782 0.656
O: 0.724 0.165 0.528
O: 0.724 0.288 0.162
O: 0.724 0.416 0.778
O: 0.727 0.037 0.906
O: 0.727 0.661 0.034
O: 0.728 0.910 0.283